No. 1
Starting from DFT lattice parameters and positions (PBE), the powder diffraction line list of GdTlPd was calculated for CuKα.
Lines closer than 0.1° are merged.

Main lines, sorted by position (15 to 90 degrees two-theta):
d [Å], Position (°2θ), I_rel
2.761, 32.43, 100
2.593, 34.60, 50
2.561, 35.04, 62
2.286, 39.41, 39
2.151, 42.01, 23
1.925, 47.21, 19
1.546, 59.84, 21
1.473, 63.13, 20
1.457, 63.91, 32
1.173, 82.15, 10

```
GdTlPd
1.0
7.920 0.000 0.000
-3.960 6.859 0.000
0.000 0.000 3.850
Gd Tl Pd
3 3 3
Direct
0.000 0.598 0.000 Gd
0.402 0.402 0.000 Gd
0.598 0.000 0.000 Gd
0.000 0.266 0.500 Tl
0.266 0.000 0.500 Tl
0.734 0.734 0.500 Tl
0.000 0.000 0.000 Pd
0.333 0.667 0.500 Pd
0.667 0.333 0.500 Pd
```

=====

No. 2
Starting from DFT lattice parameters and positions (PBE), the powder diffraction line list of PrGdZn2 was calculated for CuKα.
Lines closer than 0.1° are merged.

Main lines, sorted by position (15 to 90 degrees two-theta):
d [Å], Position (°2θ), I_rel
3.692, 24.11, 15
2.611, 34.35, 52
2.589, 34.64, 100
1.846, 49.37, 18
1.816, 50.23, 8
1.503, 61.71, 37
1.491, 62.27, 17
1.295, 73.09, 11
1.167, 82.65, 8
1.166, 82.82, 8

```
PrGdZn2
1.0
3.692 0.000 0.000
0.000 3.692 0.000
0.000 0.000 7.265
Pr Gd Zn
1 1 2
Direct
0.000 0.000 0.000 Pr
0.000 0.000 0.500 Gd
0.500 0.500 0.262 Zn
0.500 0.500 0.738 Zn
```

=====

No. 3
Starting from DFT lattice parameters and positions (PBE), the powder diffraction line list of GdPt was calculated for CuKα.
Lines closer than 0.1° are merged.

Main lines, sorted by position (15 to 90 degrees two-theta):
d [Å], Position (°2θ), I_rel
4.447, 19.97, 18
2.817, 31.77, 69
2.631, 34.08, 42
2.521, 35.61, 100
2.274, 39.64, 88
2.260, 39.90, 48
2.210, 40.83, 20
1.715, 53.42, 47
1.367, 68.68, 22
1.239, 76.93, 16

```
GdPt
1.0
7.204 0.000 0.000
0.000 4.519 0.000
0.000 0.000 5.652
Gd Pt
4 4
Direct
0.182 0.250 0.142 Gd
0.318 0.750 0.642 Gd
0.682 0.250 0.358 Gd
0.818 0.750 0.858 Gd
0.044 0.250 0.656 Pt
0.456 0.750 0.156 Pt
0.544 0.250 0.844 Pt
0.956 0.750 0.344 Pt
```